1.
Computed powder XRD pattern
Compound: AgTeCl5
Radiation: Cu Kα (λ = 1.5418 Å)
Structure: a cell relaxed with GGA-PBE
Neutral-atom scattering factors, no anomalous dispersion.

Cell and atoms:
abc: 7.3901 7.3901 9.3413
angles: 105.93 105.93 78.60
Fractional positions:
Ag 0.1045 0.8955 0.5000
Ag 0.8955 0.1045 0.0000
Te 0.4977 0.9906 0.2496
Te 0.9906 0.4977 0.7496
Cl 0.1665 0.1871 0.2319
Cl 0.1782 0.5916 0.9960
Cl 0.1871 0.1665 0.7319
Cl 0.2175 0.6019 0.6403
Cl 0.3948 0.7629 0.3657
Cl 0.5916 0.1782 0.4960
Cl 0.6019 0.2175 0.1403
Cl 0.7629 0.3948 0.8657
Cl 0.7976 0.8270 0.7753
Cl 0.8270 0.7976 0.2753

Largest 10 diffraction maxima, most intense first, 2θ = 10–90°:
| 2θ (°) | I/Imax |
| --- | --- |
| 17.9 | 100 |
| 21.2 | 47 |
| 30.6 | 34 |
| 12.6 | 32 |
| 30.7 | 28 |
| 25.3 | 26 |
| 43.8 | 26 |
| 42.1 | 23 |
| 27.8 | 22 |
| 25.0 | 17 |

2.
Computed powder XRD pattern
Compound: HgH4Br3N
Radiation: Cu Kα (λ = 1.5418 Å)
Structure: a cell relaxed with GGA-PBE
Neutral-atom scattering factors, no anomalous dispersion.

Cell and atoms:
abc: 6.7626 7.2225 8.5815
angles: 90.25 104.42 91.22
Fractional positions:
Hg 0.0000 0.0000 0.0000
Hg 0.0343 0.4925 0.4741
H 0.3985 0.8948 0.4169
H 0.4838 0.9240 0.6213
H 0.4874 0.1054 0.4994
H 0.5386 0.4248 0.8354
H 0.6338 0.6161 0.9449
H 0.6368 0.4070 0.0393
H 0.6511 0.9269 0.5070
H 0.7912 0.4436 0.9164
Br 0.0813 0.2968 0.8631
Br 0.1819 0.7439 0.1818
Br 0.4373 0.4240 0.5370
Br 0.5921 0.9328 0.9188
Br 0.8274 0.2401 0.2907
Br 0.9983 0.7954 0.6196
N 0.5043 0.9623 0.5098
N 0.6486 0.4729 0.9352

Largest 10 diffraction maxima, most intense first, 2θ = 10–90°:
| 2θ (°) | I/Imax |
| --- | --- |
| 13.5 | 100 |
| 16.2 | 75 |
| 16.3 | 69 |
| 25.5 | 51 |
| 21.4 | 32 |
| 39.1 | 31 |
| 27.2 | 30 |
| 32.7 | 27 |
| 23.1 | 25 |
| 33.0 | 25 |

3.
Computed powder XRD pattern
Compound: Nd3Cd8Ag3
Radiation: Cu Kα (λ = 1.5418 Å)
Structure: a cell relaxed with GGA-PBE
Neutral-atom scattering factors, no anomalous dispersion.

Cell and atoms:
abc: 8.8421 8.8421 8.8421
angles: 147.56 112.77 76.65
Fractional positions:
Nd 0.0000 0.0000 0.0000
Nd 0.2894 0.2894 0.0000
Nd 0.7106 0.7106 0.0000
Cd 0.0083 0.6499 0.3584
Cd 0.1529 0.8628 0.2901
Cd 0.2915 0.6499 0.6416
Cd 0.4272 0.1372 0.2901
Cd 0.5728 0.8628 0.7099
Cd 0.7085 0.3501 0.3584
Cd 0.8471 0.1372 0.7099
Cd 0.9917 0.3501 0.6416
Ag 0.3430 0.5000 0.8430
Ag 0.5000 0.0000 0.5000
Ag 0.6570 0.5000 0.1570

Largest 10 diffraction maxima, most intense first, 2θ = 10–90°:
| 2θ (°) | I/Imax |
| --- | --- |
| 32.9 | 100 |
| 32.2 | 86 |
| 36.4 | 70 |
| 63.2 | 48 |
| 31.6 | 45 |
| 41.7 | 41 |
| 35.4 | 40 |
| 42.2 | 28 |
| 33.6 | 26 |
| 49.0 | 26 |

4.
Computed powder XRD pattern
Compound: Tb4PrTm15
Radiation: Cu Kα (λ = 1.5418 Å)
Structure: a cell relaxed with GGA-PBE
Neutral-atom scattering factors, no anomalous dispersion.

Cell and atoms:
abc: 4.9687 4.9687 24.8087
angles: 90.00 90.00 90.00
Fractional positions:
Tb 0.0000 0.0000 0.0996
Tb 0.0000 0.0000 0.2990
Tb 0.0000 0.0000 0.7010
Tb 0.0000 0.0000 0.9004
Pr 0.0000 0.0000 0.5000
Tm 0.0000 0.5000 0.0000
Tm 0.0000 0.5000 0.1992
Tm 0.0000 0.5000 0.3983
Tm 0.0000 0.5000 0.6017
Tm 0.0000 0.5000 0.8008
Tm 0.5000 0.0000 0.0000
Tm 0.5000 0.0000 0.1992
Tm 0.5000 0.0000 0.3983
Tm 0.5000 0.0000 0.6017
Tm 0.5000 0.0000 0.8008
Tm 0.5000 0.5000 0.0997
Tm 0.5000 0.5000 0.2985
Tm 0.5000 0.5000 0.5000
Tm 0.5000 0.5000 0.7015
Tm 0.5000 0.5000 0.9003

Largest 10 diffraction maxima, most intense first, 2θ = 10–90°:
| 2θ (°) | I/Imax |
| --- | --- |
| 31.2 | 100 |
| 36.2 | 51 |
| 62.0 | 43 |
| 52.1 | 36 |
| 85.2 | 18 |
| 65.1 | 12 |
| 88.0 | 11 |
| 87.9 | 6 |
| 76.7 | 4 |
| 76.9 | 2 |

5.
Computed powder XRD pattern
Compound: Pm3AuCl3
Radiation: Cu Kα (λ = 1.5418 Å)
Structure: a cell relaxed with GGA-PBE
Neutral-atom scattering factors, no anomalous dispersion.

Cell and atoms:
abc: 10.2299 10.2299 10.2299
angles: 109.47 109.47 109.47
Fractional positions:
Pm 0.0050 0.0100 0.2550
Pm 0.0050 0.4950 0.7500
Pm 0.0100 0.2550 0.0050
Pm 0.2450 0.2550 0.7500
Pm 0.2450 0.4900 0.4950
Pm 0.2550 0.0050 0.0100
Pm 0.2550 0.7500 0.2450
Pm 0.4900 0.4950 0.2450
Pm 0.4950 0.2450 0.4900
Pm 0.4950 0.7500 0.0050
Pm 0.7500 0.0050 0.4950
Pm 0.7500 0.2450 0.2550
Au 0.0000 0.2500 0.5000
Au 0.2500 0.2500 0.2500
Au 0.2500 0.5000 0.0000
Au 0.5000 0.0000 0.2500
Cl 0.2500 0.7509 0.7491
Cl 0.2500 0.9991 0.5009
Cl 0.5009 0.2500 0.9991
Cl 0.5009 0.7509 0.5019
Cl 0.5019 0.5009 0.7509
Cl 0.7491 0.2500 0.7509
Cl 0.7491 0.9991 0.9981
Cl 0.7509 0.5019 0.5009
Cl 0.7509 0.7491 0.2500
Cl 0.9981 0.7491 0.9991
Cl 0.9991 0.5009 0.2500
Cl 0.9991 0.9981 0.7491

Largest 10 diffraction maxima, most intense first, 2θ = 10–90°:
| 2θ (°) | I/Imax |
| --- | --- |
| 10.6 | 100 |
| 30.3 | 98 |
| 43.3 | 72 |
| 71.4 | 32 |
| 38.9 | 27 |
| 23.8 | 27 |
| 53.8 | 25 |
| 79.5 | 24 |
| 32.1 | 21 |
| 55.0 | 12 |

6.
Computed powder XRD pattern
Compound: PmHoTl6
Radiation: Cu Kα (λ = 1.5418 Å)
Structure: a cell relaxed with GGA-PBE
Neutral-atom scattering factors, no anomalous dispersion.

Cell and atoms:
abc: 4.7898 4.7898 9.5773
angles: 90.00 90.00 90.00
Fractional positions:
Pm 0.0000 0.0000 0.0000
Ho 0.0000 0.0000 0.5000
Tl 0.0000 0.5000 0.2533
Tl 0.0000 0.5000 0.7467
Tl 0.5000 0.0000 0.2533
Tl 0.5000 0.0000 0.7467
Tl 0.5000 0.5000 0.0000
Tl 0.5000 0.5000 0.5000

Largest 10 diffraction maxima, most intense first, 2θ = 10–90°:
| 2θ (°) | I/Imax |
| --- | --- |
| 32.4 | 100 |
| 37.6 | 51 |
| 64.5 | 42 |
| 54.2 | 36 |
| 89.1 | 19 |
| 67.8 | 12 |
| 80.2 | 6 |
| 18.5 | 1 |
| 26.3 | 1 |
| 42.2 | 1 |

7.
Computed powder XRD pattern
Compound: TbZrNb4
Radiation: Cu Kα (λ = 1.5418 Å)
Structure: a cell relaxed with GGA-PBE
Neutral-atom scattering factors, no anomalous dispersion.

Cell and atoms:
abc: 5.6435 5.6435 5.6435
angles: 60.00 60.00 60.00
Fractional positions:
Tb 0.0000 0.0000 0.0000
Zr 0.2500 0.2500 0.2500
Nb 0.1249 0.6250 0.6250
Nb 0.6250 0.1249 0.6250
Nb 0.6250 0.6250 0.1249
Nb 0.6250 0.6250 0.6250

Largest 10 diffraction maxima, most intense first, 2θ = 10–90°:
| 2θ (°) | I/Imax |
| --- | --- |
| 37.4 | 100 |
| 31.7 | 36 |
| 60.3 | 32 |
| 39.1 | 32 |
| 66.2 | 26 |
| 56.5 | 14 |
| 79.7 | 11 |
| 78.6 | 11 |
| 75.3 | 6 |
| 19.3 | 3 |

8.
Computed powder XRD pattern
Compound: CaThCu10
Radiation: Cu Kα (λ = 1.5418 Å)
Structure: a cell relaxed with GGA-PBE
Neutral-atom scattering factors, no anomalous dispersion.

Cell and atoms:
abc: 4.0921 5.1384 8.7528
angles: 90.00 90.00 90.00
Fractional positions:
Ca 0.0000 0.0000 0.0000
Th 0.0000 0.5000 0.5000
Cu 0.0000 0.0000 0.3313
Cu 0.0000 0.0000 0.6687
Cu 0.0000 0.5000 0.1629
Cu 0.0000 0.5000 0.8371
Cu 0.5000 0.0000 0.5000
Cu 0.5000 0.2533 0.2533
Cu 0.5000 0.2533 0.7467
Cu 0.5000 0.5000 0.0000
Cu 0.5000 0.7467 0.2533
Cu 0.5000 0.7467 0.7467

Largest 10 diffraction maxima, most intense first, 2θ = 10–90°:
| 2θ (°) | I/Imax |
| --- | --- |
| 41.9 | 100 |
| 41.5 | 51 |
| 10.1 | 49 |
| 44.3 | 42 |
| 29.7 | 38 |
| 40.7 | 35 |
| 35.4 | 28 |
| 67.4 | 23 |
| 61.7 | 20 |
| 29.9 | 19 |

9.
Computed powder XRD pattern
Compound: ZnGeAu6
Radiation: Cu Kα (λ = 1.5418 Å)
Structure: a cell relaxed with GGA-PBE
Neutral-atom scattering factors, no anomalous dispersion.

Cell and atoms:
abc: 7.0541 6.6948 4.9709
angles: 72.72 64.99 42.29
Fractional positions:
Zn 0.0000 0.0000 0.0000
Ge 0.5000 0.5000 0.5000
Au 0.1214 0.1214 0.3786
Au 0.2437 0.2437 0.7563
Au 0.3786 0.3786 0.1214
Au 0.6214 0.6214 0.8786
Au 0.7563 0.7563 0.2437
Au 0.8786 0.8786 0.6214

Largest 10 diffraction maxima, most intense first, 2θ = 10–90°:
| 2θ (°) | I/Imax |
| --- | --- |
| 36.9 | 100 |
| 38.4 | 89 |
| 42.0 | 69 |
| 65.0 | 38 |
| 72.4 | 28 |
| 47.2 | 25 |
| 75.2 | 25 |
| 58.7 | 13 |
| 78.6 | 12 |
| 80.9 | 11 |